This entry pairs a crystal structure of KRb3Cd3 with its calculated XRD peak list. Radiation: Cu Kα (weighted mean of Kα1 and Kα2). Structure: DFT lattice parameters and positions (GGA-PBE).
No peak broadening, texture or thermal motion is included.

Atomic structure:
a b c (Å): 11.413 11.413 11.413
angles (deg): 45.66 45.66 45.66
Fractional coordinates of all 14 atoms:
K 0.064 0.064 0.064
K 0.936 0.936 0.936
Rb 0.097 0.603 0.603
Rb 0.397 0.397 0.903
Rb 0.397 0.903 0.397
Rb 0.603 0.097 0.603
Rb 0.603 0.603 0.097
Rb 0.903 0.397 0.397
Cd 0.213 0.213 0.575
Cd 0.213 0.575 0.213
Cd 0.425 0.787 0.787
Cd 0.575 0.213 0.213
Cd 0.787 0.425 0.787
Cd 0.787 0.787 0.425

Peak list (10 most intense, 2θ from 10° to 90°, in order of rising 2θ)
2θ (°)  I/Imax
25.99  91
26.20  60
27.45  100
31.00  47
31.42  47
33.05  52
34.23  51
35.15  30
40.76  29
52.40  30